For Pr4Y2Ho3, a DFT-relaxed cell (GGA-PBE, Alexandria) gives the calculated PXRD pattern in this record (Cu Kα (λ = 1.5418 Å)).
Kinematic intensities with the Lorentz-polarization factor, no thermal factor.

Top 12 peaks for 10 to 90 degrees two-theta, sorted by position:
| (hkl) | d (Å) | two_theta | I/Imax |
| --- | --- | --- | --- |
| 1 0 0 | 3.147 | 28.36 | 46 |
| 0 0 9 | 2.987 | 29.91 | 49 |
| 0 1 4 | 2.850 | 31.38 | 75 |
| 1 0 5 | 2.716 | 32.98 | 100 |
| 0 1 9 | 2.167 | 41.69 | 30 |
| 1 1 0 | 1.817 | 50.21 | 38 |
| 1 0 14 | 1.639 | 56.11 | 28 |
| 1 1 9 | 1.552 | 59.55 | 41 |
| 2 0 4 | 1.532 | 60.42 | 12 |
| 0 2 5 | 1.510 | 61.39 | 17 |
| 2 1 5 | 1.161 | 83.17 | 14 |
| 1 1 18 | 1.154 | 83.85 | 12 |

Atomic structure:
a b c (Å): 3.6342 3.6342 26.8841
angles (deg): 90.00 90.00 120.00
Space group P3m1 (No. 156)
Asymmetric unit:
Pr 0.0000 0.0000 0.0000
Pr 0.0000 0.0000 0.2155
Pr 0.3333 0.6667 0.3329
Pr 0.3333 0.6667 0.5503
Y 0.0000 0.0000 0.6611
Y 0.0000 0.0000 0.8689
Ho 0.0000 0.0000 0.4410
Ho 0.3333 0.6667 0.1062
Ho 0.3333 0.6667 0.7659

---

For Pr4Y5Ho3, a DFT-relaxed cell (GGA-PBE, Alexandria) gives the calculated PXRD pattern in this record (Cu Kα (λ = 1.5418 Å)).
Kinematic intensities with the Lorentz-polarization factor, no thermal factor.

Top 12 peaks for 10 to 90 degrees two-theta, sorted by position:
| (hkl) | d (Å) | two_theta | I/Imax |
| --- | --- | --- | --- |
| 2 0 2 | 3.090 | 28.89 | 33 |
| 3 1 1 | 3.058 | 29.20 | 23 |
| 0 2 0 | 2.984 | 29.95 | 100 |
| 4 0 -3 | 2.965 | 30.14 | 21 |
| 4 0 1 | 2.894 | 30.90 | 37 |
| 5 1 -1 | 2.843 | 31.46 | 41 |
| 5 1 -2 | 2.785 | 32.14 | 84 |
| 3 1 -3 | 2.765 | 32.38 | 38 |
| 1 1 -3 | 2.700 | 33.18 | 71 |
| 2 2 2 | 2.147 | 42.10 | 24 |
| 4 2 1 | 2.077 | 43.57 | 29 |
| 5 3 -2 | 1.682 | 54.57 | 25 |

Atomic structure:
a b c (Å): 16.2870 5.9676 9.4574
angles (deg): 90.00 116.89 90.00
Space group C2/m (No. 12)
Asymmetric unit:
Pr 0.0857 0.0000 0.4489
Pr 0.2179 0.0000 0.8835
Y 0.0000 0.0000 0.0000
Y 0.0706 0.5000 0.7049
Y 0.1699 0.5000 0.3815
Ho 0.0000 0.5000 0.0000
Ho 0.2134 0.0000 0.2374

---

For Pr6Y16Ho7, a DFT-relaxed cell (GGA-PBE, Alexandria) gives the calculated PXRD pattern in this record (Cu Kα (λ = 1.5418 Å)).
Kinematic intensities with the Lorentz-polarization factor, no thermal factor.

Top 12 peaks for 10 to 90 degrees two-theta, sorted by position:
| (hkl) | d (Å) | two_theta | I/Imax |
| --- | --- | --- | --- |
| 2 2 0 | 5.628 | 15.75 | 6 |
| 4 2 2 | 3.249 | 27.45 | 11 |
| 3 3 3 | 3.063 | 29.15 | 19 |
| 4 4 0 | 2.814 | 31.80 | 100 |
| 7 3 1 | 2.072 | 43.68 | 10 |
| 8 0 0 | 1.990 | 45.59 | 13 |
| 8 4 4 | 1.625 | 56.66 | 23 |
| 7 7 3 | 1.539 | 60.13 | 9 |
| 8 8 0 | 1.407 | 66.45 | 6 |
| 10 6 2 | 1.345 | 69.93 | 6 |
| 12 4 0 | 1.258 | 75.56 | 6 |
| 9 7 7 | 1.190 | 80.78 | 6 |

Atomic structure:
a b c (Å): 15.9176 15.9176 15.9176
angles (deg): 90.00 90.00 90.00
Space group Fm-3m (No. 225)
Asymmetric unit:
Pr 0.0000 0.0000 0.2185
Y 0.1226 0.1226 0.3774
Y 0.1544 0.1544 0.1544
Ho 0.0000 0.0000 0.5000
Ho 0.0000 0.2500 0.2500

---

For PrY2Ho5, a DFT-relaxed cell (GGA-PBE, Alexandria) gives the calculated PXRD pattern in this record (Cu Kα (λ = 1.5418 Å)).
Kinematic intensities with the Lorentz-polarization factor, no thermal factor.

Top 12 peaks for 10 to 90 degrees two-theta, sorted by position:
| (hkl) | d (Å) | two_theta | I/Imax |
| --- | --- | --- | --- |
| -1 2 1 | 3.145 | 28.38 | 24 |
| 2 2 0 | 2.834 | 31.56 | 24 |
| 1 2 3 | 2.750 | 32.56 | 100 |
| 1 4 1 | 2.107 | 42.93 | 8 |
| 3 0 -1 | 2.105 | 42.98 | 8 |
| 1 0 5 | 1.816 | 50.25 | 20 |
| 3 2 -3 | 1.620 | 56.84 | 20 |
| 3 2 5 | 1.529 | 60.56 | 22 |
| -1 5 2 | 1.516 | 61.15 | 11 |
| -3 3 2 | 1.515 | 61.18 | 5 |
| 5 1 4 | 1.209 | 79.23 | 5 |
| -2 3 7 | 1.163 | 83.00 | 14 |

Atomic structure:
a b c (Å): 6.7294 8.4740 9.6076
angles (deg): 75.89 84.10 77.46
Space group P-1 (No. 2)
Asymmetric unit:
Pr 0.1154 0.1375 0.1783
Y 0.2414 0.0127 0.5518
Y 0.3650 0.8841 0.9271
Ho 0.0074 0.7373 0.2005
Ho 0.1374 0.6113 0.5725
Ho 0.2618 0.4897 0.9473
Ho 0.3864 0.3694 0.3226
Ho 0.4871 0.7587 0.3042

---

For Pr2YHo12, a DFT-relaxed cell (GGA-PBE, Alexandria) gives the calculated PXRD pattern in this record (Cu Kα (λ = 1.5418 Å)).
Kinematic intensities with the Lorentz-polarization factor, no thermal factor.

Top 12 peaks for 10 to 90 degrees two-theta, sorted by position:
| (hkl) | d (Å) | two_theta | I/Imax |
| --- | --- | --- | --- |
| 1 1 2 | 4.262 | 20.84 | 35 |
| 2 0 2 | 3.106 | 28.75 | 96 |
| 2 0 3 | 2.992 | 29.86 | 56 |
| 2 0 4 | 2.853 | 31.36 | 54 |
| 1 1 7 | 2.806 | 31.89 | 99 |
| 2 1 2 | 2.795 | 32.02 | 100 |
| 0 0 9 | 2.779 | 32.21 | 60 |
| 2 1 4 | 2.606 | 34.41 | 48 |
| 2 1 5 | 2.488 | 36.11 | 57 |
| 2 2 0 | 2.267 | 39.76 | 56 |
| 2 1 7 | 2.236 | 40.33 | 37 |
| 3 1 9 | 1.638 | 56.16 | 62 |

Atomic structure:
a b c (Å): 6.4119 6.4119 25.0087
angles (deg): 90.00 90.00 90.00
Space group P4/nbm (No. 125, origin choice 2)
Asymmetric unit:
Pr 0.2500 0.7500 0.2287
Y 0.2500 0.7500 0.5000
Ho 0.0637 0.5637 0.3839
Ho 0.0812 0.5812 0.9401
Ho 0.2500 0.2500 0.1592
Ho 0.2500 0.2500 0.2846

---

For Pr2Y6Ho3, a DFT-relaxed cell (GGA-PBE, Alexandria) gives the calculated PXRD pattern in this record (Cu Kα (λ = 1.5418 Å)).
Kinematic intensities with the Lorentz-polarization factor, no thermal factor.

Top 12 peaks for 10 to 90 degrees two-theta, sorted by position:
| (hkl) | d (Å) | two_theta | I/Imax |
| --- | --- | --- | --- |
| 1 3 1 | 2.899 | 30.84 | 100 |
| 2 0 -2 | 2.897 | 30.87 | 98 |
| 2 0 2 | 2.510 | 35.78 | 99 |
| 0 6 0 | 1.775 | 51.47 | 46 |
| 1 3 5 | 1.773 | 51.53 | 23 |
| 4 0 0 | 1.514 | 61.22 | 61 |
| 3 3 3 | 1.512 | 61.31 | 20 |
| 2 6 2 | 1.449 | 64.28 | 23 |
| 2 6 -6 | 1.256 | 75.75 | 7 |
| 4 6 0 | 1.152 | 84.05 | 22 |
| 4 6 -4 | 1.123 | 86.67 | 10 |
| 5 3 1 | 1.122 | 86.78 | 15 |

Atomic structure:
a b c (Å): 6.1465 10.6610 11.7645
angles (deg): 90.00 100.11 90.00
Space group C2/m (No. 12)
Asymmetric unit:
Pr 0.0000 0.1667 0.0000
Y 0.2490 0.1666 0.7462
Y 0.2487 0.5000 0.7463
Ho 0.0000 0.0000 0.5000
Ho 0.0000 0.3350 0.5000

---

For PrY10Ho4, a DFT-relaxed cell (GGA-PBE, Alexandria) gives the calculated PXRD pattern in this record (Cu Kα (λ = 1.5418 Å)).
Kinematic intensities with the Lorentz-polarization factor, no thermal factor.

Top 12 peaks for 10 to 90 degrees two-theta, sorted by position:
| (hkl) | d (Å) | two_theta | I/Imax |
| --- | --- | --- | --- |
| 2 1 1 | 4.082 | 21.77 | 51 |
| 1 0 3 | 3.357 | 26.55 | 22 |
| 3 0 1 | 3.146 | 28.37 | 18 |
| 3 1 0 | 3.122 | 28.59 | 63 |
| 2 2 2 | 2.924 | 30.57 | 21 |
| 2 1 3 | 2.776 | 32.25 | 100 |
| 1 3 2 | 2.697 | 33.22 | 40 |
| 2 4 0 | 2.207 | 40.88 | 21 |
| 2 3 3 | 2.173 | 41.57 | 15 |
| 4 3 1 | 1.942 | 46.79 | 18 |
| 1 3 6 | 1.550 | 59.67 | 16 |
| 5 4 3 | 1.416 | 65.99 | 14 |

Atomic structure:
a b c (Å): 9.8720 9.8720 10.7100
angles (deg): 90.00 90.00 90.00
Space group I4/m (No. 87)
Asymmetric unit:
Pr 0.0000 0.0000 0.0000
Y 0.0000 0.5000 0.2500
Y 0.1240 0.2172 0.1701
Ho 0.0513 0.2791 0.5000

---

For Pr4Y3Ho4, a DFT-relaxed cell (GGA-PBE, Alexandria) gives the calculated PXRD pattern in this record (Cu Kα (λ = 1.5418 Å)).
Kinematic intensities with the Lorentz-polarization factor, no thermal factor.

Top 12 peaks for 10 to 90 degrees two-theta, sorted by position:
| (hkl) | d (Å) | two_theta | I/Imax |
| --- | --- | --- | --- |
| 6 0 -1 | 3.236 | 27.56 | 26 |
| 1 1 -1 | 3.047 | 29.32 | 20 |
| 5 1 -1 | 2.887 | 30.97 | 25 |
| 11 1 0 | 2.845 | 31.44 | 100 |
| 0 2 0 | 2.825 | 31.67 | 59 |
| 5 1 1 | 2.720 | 32.93 | 94 |
| 16 0 1 | 1.836 | 49.66 | 22 |
| 11 3 0 | 1.635 | 56.26 | 21 |
| 5 3 1 | 1.610 | 57.22 | 19 |
| 16 2 1 | 1.539 | 60.10 | 25 |
| 13 1 -2 | 1.526 | 60.67 | 30 |
| 2 2 -2 | 1.523 | 60.81 | 19 |

Atomic structure:
a b c (Å): 36.3976 5.6504 3.6174
angles (deg): 90.00 95.61 90.00
Space group C2/m (No. 12)
Asymmetric unit:
Pr 0.0523 0.0000 0.0551
Pr 0.1773 0.5000 0.1791
Y 0.0000 0.5000 0.5000
Y 0.1461 0.0000 0.6483
Ho 0.0925 0.5000 0.5957
Ho 0.2349 0.0000 0.2350